(1)
For CsAcPO4, a crystal structure in Alexandria, relaxed with PBE gives the theoretical X-ray powder pattern in this record (CuKα).
Peak positions follow from Bragg's law for the DFT cell and can differ from measured ones.

Cell and atoms:
```
CsAcPO4
1.0
0.0000 4.5634 4.5634
4.5634 0.0000 4.5634
4.5634 4.5634 0.0000
Cs Ac P O
1 1 1 4
Direct
0.0000 0.0000 0.0000
0.2500 0.2500 0.2500
0.5000 0.5000 0.5000
0.4011 0.4011 0.4011
0.4011 0.4011 0.7966
0.4011 0.7966 0.4011
0.7966 0.4011 0.4011
```

The 8 most intense peaks (2θ from 5° to 70°), by angle:
Position (°2θ)  I (rel.)
16.83  82
27.64  100
32.54  45
43.21  29
48.89  39
52.07  19
59.96  17
64.58  16

***

(2)
For CsAc2PdO4, a crystal structure in Alexandria, relaxed with PBE gives the theoretical X-ray powder pattern in this record (CuKα).
Peak positions follow from Bragg's law for the DFT cell and can differ from measured ones.

Cell and atoms:
```
CsAc2PdO4
1.0
1.9631 -6.4143 0.0000
1.9631 6.4143 0.0000
0.0000 0.0000 13.4010
Cs Ac Pd O
2 4 2 8
Direct
0.1132 0.8868 0.7500
0.8868 0.1132 0.2500
0.3670 0.6330 0.5578
0.3670 0.6330 0.9422
0.6330 0.3670 0.0578
0.6330 0.3670 0.4422
0.1570 0.8430 0.2500
0.8430 0.1570 0.7500
0.0000 0.0000 0.0000
0.0000 0.0000 0.5000
0.2508 0.7492 0.0879
0.2508 0.7492 0.4121
0.3926 0.6074 0.7500
0.6074 0.3926 0.2500
0.7492 0.2508 0.5879
0.7492 0.2508 0.9121
```

The 8 most intense peaks (2θ from 5° to 70°), by angle:
Position (°2θ)  I (rel.)
24.28  86
27.23  100
27.82  69
31.12  37
33.76  96
36.33  33
46.21  54
54.81  36

***

(3)
For CsAcPd4O6, a crystal structure in Alexandria, relaxed with PBE gives the theoretical X-ray powder pattern in this record (CuKα).
Peak positions follow from Bragg's law for the DFT cell and can differ from measured ones.

Cell and atoms:
```
CsAcPd4O6
1.0
5.3721 0.0000 0.0000
-2.6861 4.6524 0.0000
0.0000 0.0000 7.9948
Cs Ac Pd O
1 1 4 6
Direct
0.0000 0.0000 0.0000
0.0000 0.0000 0.5000
0.3333 0.6667 0.1711
0.3333 0.6667 0.8289
0.6667 0.3333 0.1711
0.6667 0.3333 0.8289
0.0000 0.5000 0.3358
0.0000 0.5000 0.6642
0.5000 0.0000 0.3358
0.5000 0.0000 0.6642
0.5000 0.5000 0.3358
0.5000 0.5000 0.6642
```

The 8 most intense peaks (2θ from 5° to 70°), by angle:
Position (°2θ)  I (rel.)
22.11  26
29.46  100
33.36  86
45.09  24
48.10  34
49.64  21
57.23  30
59.62  16

***

(4)
For CsAcRe2O7, a crystal structure in Alexandria, relaxed with PBE gives the theoretical X-ray powder pattern in this record (CuKα).
Peak positions follow from Bragg's law for the DFT cell and can differ from measured ones.

Cell and atoms:
```
CsAcRe2O7
1.0
3.9922 0.0000 0.0000
0.0000 3.9922 0.0000
0.0000 0.0000 10.8970
Cs Ac Re O
1 1 2 7
Direct
0.0000 0.0000 0.0000
0.0000 0.0000 0.5000
0.5000 0.5000 0.3099
0.5000 0.5000 0.6901
0.0000 0.5000 0.3305
0.0000 0.5000 0.6695
0.5000 0.0000 0.3305
0.5000 0.0000 0.6695
0.5000 0.5000 0.1453
0.5000 0.5000 0.5000
0.5000 0.5000 0.8547
```

The 8 most intense peaks (2θ from 5° to 70°), by angle:
Position (°2θ)  I (rel.)
8.11  67
27.70  100
31.70  47
33.35  23
40.07  12
45.44  24
46.29  15
54.05  32